Entry 1:
The following is a calculated powder diffraction line list of Cs2SrAgCl6. It was derived from a cell relaxed with GGA-PBE, using Cu Kα (weighted mean of Kα1 and Kα2).

Top 10 peaks for 2θ from 10° to 90°, in order of falling intensity:
two_theta  d_spacing  intensity
23.00  3.867  1000
32.10  2.788  689
22.55  3.943  546
39.86  2.262  481
46.99  1.934  381
28.08  3.178  305
33.38  2.684  265
46.04  1.972  237
58.05  1.589  197
40.66  2.219  181

Crystal structure
Lattice parameters (Å, degrees): 5.576 5.576 10.737 90.00 90.00 90.00
Sites, in units of the cell vectors:
Cs 0.000 0.000 0.227
Cs 0.000 0.000 0.773
Sr 0.500 0.500 0.500
Ag 0.500 0.500 0.000
Cl 0.000 0.500 0.000
Cl 0.000 0.500 0.500
Cl 0.500 0.000 0.000
Cl 0.500 0.000 0.500
Cl 0.500 0.500 0.230
Cl 0.500 0.500 0.770

***

Entry 2:
The following is a calculated powder diffraction line list of YN. It was derived from a cell relaxed with GGA-PBE, using Cu Kα (weighted mean of Kα1 and Kα2).

Top 8 peaks for 2θ from 10° to 90°, in order of falling intensity:
two_theta  d_spacing  intensity
31.50  2.840  1000
36.53  2.460  918
52.62  1.739  601
62.63  1.483  433
88.98  1.100  254
65.75  1.420  195
86.16  1.129  180
77.63  1.230  88

Crystal structure
Lattice parameters (Å, degrees): 4.920 4.920 4.920 90.00 90.00 90.00
Sites, in units of the cell vectors:
Y 0.000 0.000 0.000
Y 0.000 0.500 0.500
Y 0.500 0.000 0.500
Y 0.500 0.500 0.000
N 0.000 0.000 0.500
N 0.000 0.500 0.000
N 0.500 0.000 0.000
N 0.500 0.500 0.500

***

Entry 3:
The following is a calculated powder diffraction line list of LiCd4Hg4. It was derived from a cell relaxed with GGA-PBE, using Cu Kα (weighted mean of Kα1 and Kα2).

Top 10 peaks for 2θ from 10° to 90°, in order of falling intensity:
two_theta  d_spacing  intensity
35.98  2.496  1000
34.70  2.585  439
65.52  1.425  208
36.64  2.452  199
27.35  3.261  181
49.38  1.846  162
32.66  2.742  152
60.45  1.531  150
25.69  3.468  150
63.03  1.475  149

Crystal structure
Lattice parameters (Å, degrees): 7.941 7.941 7.941 92.65 92.65 155.16
Sites, in units of the cell vectors:
Li 0.000 0.000 0.000
Cd 0.041 0.664 0.704
Cd 0.336 0.041 0.377
Cd 0.664 0.959 0.623
Cd 0.959 0.336 0.296
Hg 0.330 0.638 0.968
Hg 0.362 0.330 0.692
Hg 0.638 0.670 0.308
Hg 0.670 0.362 0.032

***

Entry 4:
The following is a calculated powder diffraction line list of KTl9In2. It was derived from a cell relaxed with GGA-PBE, using Cu Kα (weighted mean of Kα1 and Kα2).

Top 10 peaks for 2θ from 10° to 90°, in order of falling intensity:
two_theta  d_spacing  intensity
32.02  2.795  1000
31.88  2.807  641
35.80  2.509  389
57.02  1.615  370
63.43  1.466  286
45.81  1.981  209
64.48  1.445  141
54.34  1.688  140
30.48  2.933  119
87.10  1.119  116

Crystal structure
Lattice parameters (Å, degrees): 11.182 11.182 3.445 90.00 90.00 120.00
Sites, in units of the cell vectors:
K 0.000 0.000 0.000
Tl 0.000 0.500 0.000
Tl 0.181 0.362 0.500
Tl 0.181 0.819 0.500
Tl 0.362 0.181 0.500
Tl 0.500 0.000 0.000
Tl 0.500 0.500 0.000
Tl 0.638 0.819 0.500
Tl 0.819 0.181 0.500
Tl 0.819 0.638 0.500
In 0.333 0.667 0.000
In 0.667 0.333 0.000

***

Entry 5:
The following is a calculated powder diffraction line list of K2SrNb6Cl18. It was derived from a cell relaxed with GGA-PBE, using Cu Kα (weighted mean of Kα1 and Kα2).

Top 10 peaks for 2θ from 10° to 90°, in order of falling intensity:
two_theta  d_spacing  intensity
12.62  7.012  1000
11.21  7.892  781
33.30  2.691  630
39.68  2.271  438
10.03  8.820  392
43.09  2.099  252
37.34  2.409  231
50.59  1.804  228
21.16  4.198  221
34.08  2.631  180

Crystal structure
Lattice parameters (Å, degrees): 10.401 10.401 10.401 54.64 54.64 54.64
Sites, in units of the cell vectors:
K 0.222 0.222 0.222
K 0.778 0.778 0.778
Sr 0.500 0.500 0.500
Nb 0.075 0.854 0.207
Nb 0.146 0.793 0.925
Nb 0.207 0.075 0.854
Nb 0.793 0.925 0.146
Nb 0.854 0.207 0.075
Nb 0.925 0.146 0.793
Cl 0.073 0.331 0.918
Cl 0.082 0.927 0.669
Cl 0.156 0.259 0.586
Cl 0.163 0.674 0.474
Cl 0.259 0.586 0.156
Cl 0.326 0.526 0.837
Cl 0.331 0.918 0.073
Cl 0.414 0.844 0.741
Cl 0.474 0.163 0.674
Cl 0.526 0.837 0.326
Cl 0.586 0.156 0.259
Cl 0.669 0.082 0.927
Cl 0.674 0.474 0.163
Cl 0.741 0.414 0.844
Cl 0.837 0.326 0.526
Cl 0.844 0.741 0.414
Cl 0.918 0.073 0.331
Cl 0.927 0.669 0.082